Starting from a DFT-relaxed cell (PBE, Alexandria), the powder diffraction line list of Hf5NbTl2 was calculated for Cu Kα (λ = 1.5418 Å).

Cell and atoms:
```
data_Hf5NbTl2
_space_group_name_H-M_alt 'I 4/m m m'
_space_group_IT_number 139
_space_group_name_Hall '-I 4 2'
_cell_length_a 5.074
_cell_length_b 5.074
_cell_length_c 13.574
_cell_angle_alpha 90.00
_cell_angle_beta 90.00
_cell_angle_gamma 90.00
loop_
_atom_site_label
_atom_site_fract_x
_atom_site_fract_y
_atom_site_fract_z
Hf1 0.000 0.000 0.000
Hf2 0.000 0.500 0.118
Nb1 0.000 0.000 0.500
Tl1 0.000 0.000 0.250
```

Most intense lines, 15 to 90 degrees two-theta, in order of rising 2θ:
hkl 2 0 0, 35.38 deg, d 2.537, I 55; hkl 1 1 4, 36.44 deg, d 2.465, I 100; hkl 2 2 0, 50.90 deg, d 1.794, I 20; hkl 0 0 8, 54.05 deg, d 1.697, I 8; hkl 3 1 4, 64.21 deg, d 1.451, I 39; hkl 2 0 8, 66.27 deg, d 1.410, I 17; hkl 4 0 0, 74.84 deg, d 1.269, I 8; hkl 2 2 8, 77.42 deg, d 1.233, I 11; hkl 4 2 0, 85.61 deg, d 1.135, I 9; hkl 3 3 4, 86.23 deg, d 1.128, I 9

Starting from a DFT-relaxed cell (PBE, Alexandria), the powder diffraction line list of Tc5Hg was calculated for Cu Kα (λ = 1.5418 Å).

Cell and atoms:
```
data_Tc5Hg
_space_group_name_H-M_alt 'A m m 2'
_space_group_IT_number 38
_cell_length_a 4.450
_cell_length_b 2.815
_cell_length_c 14.793
_cell_angle_alpha 90.00
_cell_angle_beta 90.00
_cell_angle_gamma 90.00
loop_
_space_group_symop_operation_xyz
'x,y,z'
'-x,-y,z'
'-x,y,z'
'x,-y,z'
'x,y+1/2,z+1/2'
'-x,-y+1/2,z+1/2'
'-x,y+1/2,z+1/2'
'x,-y+1/2,z+1/2'
loop_
_atom_site_label
_atom_site_fract_x
_atom_site_fract_y
_atom_site_fract_z
Tc1 0.000 0.000 0.000
Tc2 0.000 0.000 0.313
Tc3 0.000 0.000 0.657
Tc4 0.500 0.000 0.103
Tc5 0.500 0.000 0.757
Hg1 0.500 0.000 0.430
```

Most intense lines, 15 to 90 degrees two-theta, in order of rising 2θ:
hkl 0 1 3, 36.76 deg, d 2.445, I 31; hkl 2 0 0, 40.54 deg, d 2.225, I 40; hkl 1 0 6, 41.89 deg, d 2.157, I 56; hkl 1 1 3, 42.17 deg, d 2.143, I 100; hkl 2 1 3, 55.87 deg, d 1.646, I 19; hkl 0 1 9, 65.79 deg, d 1.419, I 16; hkl 3 1 3, 74.87 deg, d 1.268, I 18; hkl 2 1 9, 80.21 deg, d 1.197, I 18; hkl 2 2 0, 80.79 deg, d 1.190, I 10; hkl 1 2 6, 81.69 deg, d 1.179, I 16